Entry 1:
Computed X-ray diffraction stick pattern of Lu2MgS4 for CuKα, from DFT lattice parameters and positions (GGA-PBE).
Neutral-atom scattering factors, no anomalous dispersion.

Cell and atoms:
Cell: 7.8450 7.2858 11.1956 Å, 90.00 90.00 90.00°
Atoms (fractional coordinates):
Lu1 0.0377 0.2500 0.1940
Lu2 0.0668 0.7500 0.4841
Lu3 0.4332 0.2500 0.9841
Lu4 0.4623 0.7500 0.6940
Lu5 0.5377 0.2500 0.3060
Lu6 0.5668 0.7500 0.0159
Lu7 0.9332 0.2500 0.5159
Lu8 0.9623 0.7500 0.8060
Mg1 0.1774 0.7500 0.0971
Mg2 0.3226 0.2500 0.5971
Mg3 0.6774 0.7500 0.4029
Mg4 0.8226 0.2500 0.9029
S1 0.1104 0.2500 0.9613
S2 0.1182 0.0055 0.6577
S3 0.1182 0.4945 0.6577
S4 0.2256 0.2500 0.3888
S5 0.2744 0.7500 0.8888
S6 0.3818 0.5055 0.1577
S7 0.3818 0.9945 0.1577
S8 0.3896 0.7500 0.4613
S9 0.6104 0.2500 0.5387
S10 0.6182 0.0055 0.8423
S11 0.6182 0.4945 0.8423
S12 0.7256 0.2500 0.1112
S13 0.7744 0.7500 0.6112
S14 0.8818 0.5055 0.3423
S15 0.8818 0.9945 0.3423
S16 0.8896 0.7500 0.0387

Largest 10 diffraction maxima, in order of rising 2θ, 10° ≤ 2θ ≤ 80°:
| 2θ/deg | I_rel | hkl |
| --- | --- | --- |
| 13.78 | 38 | 1 0 1 |
| 14.51 | 75 | 0 1 1 |
| 22.67 | 36 | 2 0 0 |
| 23.02 | 33 | 1 1 2 |
| 24.43 | 77 | 0 2 0 |
| 26.45 | 47 | 1 0 3 |
| 30.41 | 34 | 2 1 2 |
| 36.30 | 100 | 1 2 3 |
| 37.41 | 48 | 3 1 1 |
| 42.20 | 25 | 3 0 3 |

***

Entry 2:
Computed X-ray diffraction stick pattern of BaGa2 for CuKα, from DFT lattice parameters and positions (GGA-PBE).
Neutral-atom scattering factors, no anomalous dispersion.

Cell and atoms:
Cell: 4.4804 4.4804 5.1103 Å, 90.00 90.00 120.00°
Atoms (fractional coordinates):
Ba1 0.0000 0.0000 0.0000
Ga1 0.3333 0.6667 0.5000
Ga2 0.6667 0.3333 0.5000

Largest 10 diffraction maxima, in order of rising 2θ, 10° ≤ 2θ ≤ 80°:
| 2θ/deg | I_rel | hkl |
| --- | --- | --- |
| 22.92 | 7 | 1 0 0 |
| 28.89 | 100 | 1 0 1 |
| 35.12 | 18 | 0 0 2 |
| 40.26 | 37 | 1 1 0 |
| 50.31 | 21 | 2 0 1 |
| 54.47 | 30 | 1 1 2 |
| 59.24 | 13 | 1 0 3 |
| 66.31 | 18 | 2 1 1 |
| 73.18 | 6 | 3 0 0 |
| 74.06 | 7 | 2 0 3 |

***

Entry 3:
Computed X-ray diffraction stick pattern of Fe3Pb3N5 for CuKα, from DFT lattice parameters and positions (GGA-PBE).
Neutral-atom scattering factors, no anomalous dispersion.

Cell and atoms:
Cell: 5.6603 7.5122 8.2552 Å, 105.72 101.37 95.42°
Atoms (fractional coordinates):
Fe1 0.0751 0.1769 0.0196
Fe2 0.1006 0.4359 0.7307
Fe3 0.3173 0.5140 0.4072
Fe4 0.6827 0.4860 0.5928
Fe5 0.8994 0.5641 0.2693
Fe6 0.9249 0.8231 0.9804
Pb1 0.2319 0.0433 0.4228
Pb2 0.3255 0.8461 0.7703
Pb3 0.3859 0.6741 0.1238
Pb4 0.6141 0.3259 0.8762
Pb5 0.6745 0.1539 0.2297
Pb6 0.7681 0.9567 0.5772
N1 0.0691 0.3504 0.2208
N2 0.1568 0.3073 0.8877
N3 0.1701 0.7137 0.4106
N4 0.2278 0.9782 0.0729
N5 0.3545 0.4658 0.6169
N6 0.6455 0.5342 0.3831
N7 0.7722 0.0218 0.9271
N8 0.8299 0.2863 0.5894
N9 0.8432 0.6927 0.1123
N10 0.9309 0.6496 0.7792

Largest 10 diffraction maxima, in order of rising 2θ, 10° ≤ 2θ ≤ 80°:
| 2θ/deg | I_rel | hkl |
| --- | --- | --- |
| 21.96 | 28 | 1 1 0 |
| 28.53 | 22 | 0 2 -2 |
| 29.94 | 80 | 1 -1 2 |
| 30.53 | 100 | 0 2 1 |
| 32.24 | 85 | 1 2 -2 |
| 33.80 | 74 | -2 1 1 |
| 34.87 | 76 | 1 0 -3 |
| 36.93 | 47 | 2 1 0 |
| 38.31 | 51 | 1 -3 1 |
| 54.21 | 23 | -2 3 2 |